For LaDy2Ni2B2N3, a structure optimized by DFT (GGA-PBE) gives the simulated powder X-ray diffraction pattern in this record (Cu Kα X-rays).

Cell and atoms:
Cell lengths 10.5478, 10.5478, 10.5478 Å; angles 160.66, 160.66, 27.48 degrees
Atoms (fractional coordinates):
La 0.0000 0.0000 0.0000
Dy 0.3730 0.3730 0.0000
Dy 0.6270 0.6270 0.0000
Ni 0.2500 0.7500 0.5000
Ni 0.7500 0.2500 0.5000
B 0.1927 0.1927 0.0000
B 0.8073 0.8073 0.0000
N 0.1219 0.1219 0.0000
N 0.5000 0.5000 0.0000
N 0.8781 0.8781 0.0000

Main lines, in order of rising 2θ (2θ from 5° to 70°):
- d 3.145, rel. 100
- d 2.680, rel. 68
- d 2.561, rel. 52
- d 2.505, rel. 38
- d 2.433, rel. 33
- d 2.250, rel. 40
- d 2.020, rel. 26
- d 1.771, rel. 37
- d 1.543, rel. 27
- d 1.457, rel. 34

***

For LaDyNi8B2, a structure optimized by DFT (GGA-PBE) gives the simulated powder X-ray diffraction pattern in this record (Cu Kα X-rays).

Cell and atoms:
Cell lengths 5.0332, 5.0332, 7.0247 Å; angles 90.00, 90.00, 120.00 degrees
Atoms (fractional coordinates):
La 0.0000 0.0000 0.0000
Dy 0.0000 0.0000 0.5000
Ni 0.0000 0.5000 0.2964
Ni 0.0000 0.5000 0.7036
Ni 0.3333 0.6667 0.0000
Ni 0.5000 0.0000 0.2964
Ni 0.5000 0.0000 0.7036
Ni 0.5000 0.5000 0.2964
Ni 0.5000 0.5000 0.7036
Ni 0.6667 0.3333 0.0000
B 0.3333 0.6667 0.5000
B 0.6667 0.3333 0.5000

Main lines, in order of rising 2θ (2θ from 5° to 70°):
- d 2.735, rel. 85
- d 2.517, rel. 30
- d 2.342, rel. 13
- d 2.179, rel. 76
- d 2.082, rel. 13
- d 2.046, rel. 100
- d 1.756, rel. 12
- d 1.492, rel. 27
- d 1.440, rel. 16
- d 1.367, rel. 13

***

For DyB4Mo, a structure optimized by DFT (GGA-PBE) gives the simulated powder X-ray diffraction pattern in this record (Cu Kα X-rays).

Cell and atoms:
Cell lengths 6.0238, 11.6422, 3.6194 Å; angles 90.00, 90.00, 90.00 degrees
Atoms (fractional coordinates):
Dy 0.1272 0.1499 0.0000
Dy 0.3728 0.6499 0.0000
Dy 0.6272 0.3501 0.0000
Dy 0.8728 0.8501 0.0000
B 0.0231 0.6936 0.5000
B 0.1140 0.5475 0.5000
B 0.1330 0.9680 0.5000
B 0.2129 0.8135 0.5000
B 0.2871 0.3135 0.5000
B 0.3670 0.4680 0.5000
B 0.3860 0.0475 0.5000
B 0.4769 0.1936 0.5000
B 0.5231 0.8064 0.5000
B 0.6140 0.9525 0.5000
B 0.6330 0.5320 0.5000
B 0.7129 0.6865 0.5000
B 0.7871 0.1865 0.5000
B 0.8670 0.0320 0.5000
B 0.8860 0.4525 0.5000
B 0.9769 0.3064 0.5000
Mo 0.1302 0.4163 0.0000
Mo 0.3698 0.9163 0.0000
Mo 0.6302 0.0837 0.0000
Mo 0.8698 0.5837 0.0000

Main lines, in order of rising 2θ (2θ from 5° to 70°):
- d 3.619, rel. 81
- d 3.262, rel. 25
- d 2.914, rel. 81
- d 2.621, rel. 21
- d 2.423, rel. 28
- d 2.379, rel. 21
- d 2.270, rel. 100
- d 2.123, rel. 28
- d 1.988, rel. 30
- d 1.537, rel. 24

***

For Dy2Ni2B3N, a structure optimized by DFT (GGA-PBE) gives the simulated powder X-ray diffraction pattern in this record (Cu Kα X-rays).

Cell and atoms:
Cell lengths 3.6207, 3.6207, 7.4584 Å; angles 90.00, 90.00, 90.00 degrees
Atoms (fractional coordinates):
Dy 0.0000 0.0000 0.0000
Dy 0.5000 0.5000 0.3409
Ni 0.0000 0.5000 0.6575
Ni 0.5000 0.0000 0.6575
B 0.0000 0.0000 0.5098
B 0.5000 0.5000 0.0014
B 0.5000 0.5000 0.7849
N 0.0000 0.0000 0.3159

Main lines, in order of rising 2θ (2θ from 5° to 70°):
- d 3.257, rel. 100
- d 2.598, rel. 62
- d 2.560, rel. 22
- d 2.486, rel. 41
- d 2.422, rel. 60
- d 2.111, rel. 47
- d 1.810, rel. 35
- d 1.582, rel. 26
- d 1.485, rel. 23
- d 1.463, rel. 30